Structure and computed powder diffraction line list of ErPuSe3 (a PBE-relaxed structure; Cu Kα, 1.54184 Å).

Cell and atoms:
abc: 6.8430 6.8430 9.9880
angles: 90.00 90.00 146.12
Fractional coordinates of all 10 atoms:
Er  0.0000  0.0000  0.0000
Er  0.0000  0.0000  0.5000
Pu  0.2501  0.7499  0.7500
Pu  0.7499  0.2501  0.2500
Se  0.0918  0.9082  0.2500
Se  0.3548  0.6452  0.0669
Se  0.3548  0.6452  0.4331
Se  0.6452  0.3548  0.5669
Se  0.6452  0.3548  0.9331
Se  0.9082  0.0918  0.7500

Largest 10 diffraction maxima, sorted by position, 2θ from 10° to 90°:
Position (°2θ)  intensity
22.4  100
30.4  37
31.7  84
35.4  42
35.8  51
36.0  28
45.4  42
45.5  28
55.6  28
66.2  27